(1)
Computed X-ray diffraction stick pattern of Pr6TlAg for Cu Ka, from a structure optimized by DFT (PBE).
Neutral-atom scattering factors, no anomalous dispersion.

Top 6 peaks for 10° ≤ 2θ ≤ 80°, in order of rising 2θ:
Position (°2θ)	I (rel.)	(hkl)
30.71	100	1 1 4
33.63	42	2 0 0
39.30	10	0 0 8
48.29	15	2 2 0
52.67	18	2 0 8
58.33	32	3 1 4

Crystal structure
Lattice parameters (Å, degrees): 5.3302 5.3302 18.3389 90.00 90.00 90.00
Space group I4/mmm (No. 139)
Symmetry-distinct sites (fractional):
Pr: 0.0000 0.0000 0.2489 (multiplicity 4)
Pr: 0.0000 0.5000 0.1101 (multiplicity 8)
Tl: 0.0000 0.0000 0.0000 (multiplicity 2)
Ag: 0.0000 0.0000 0.5000 (multiplicity 2)



(2)
Computed X-ray diffraction stick pattern of Pr6Tl5Ag for Cu Ka, from a structure optimized by DFT (PBE).
Neutral-atom scattering factors, no anomalous dispersion.

Top 6 peaks for 10° ≤ 2θ ≤ 80°, in order of rising 2θ:
Position (°2θ)	I (rel.)	(hkl)
32.33	100	2 0 0
46.44	12	2 6 0
57.58	13	2 0 4
57.71	26	3 3 2
67.62	8	2 6 4
77.11	11	4 6 0

Crystal structure
Lattice parameters (Å, degrees): 5.5266 16.6017 7.8528 90.00 90.00 90.00
Space group Cmmm (No. 65)
Symmetry-distinct sites (fractional):
Pr: 0.0000 0.0000 0.2435 (multiplicity 4)
Pr: 0.0000 0.3360 0.2459 (multiplicity 8)
Tl: 0.0000 0.1646 0.0000 (multiplicity 4)
Tl: 0.0000 0.1672 0.5000 (multiplicity 4)
Tl: 0.0000 0.5000 0.5000 (multiplicity 2)
Ag: 0.0000 0.5000 0.0000 (multiplicity 2)



(3)
Computed X-ray diffraction stick pattern of Pr2TlAg for Cu Ka, from a structure optimized by DFT (PBE).
Neutral-atom scattering factors, no anomalous dispersion.

Top 6 peaks for 10° ≤ 2θ ≤ 80°, in order of rising 2θ:
Position (°2θ)	I (rel.)	(hkl)
32.48	100	1 0 2
33.50	47	1 1 0
48.10	19	2 0 0
57.29	19	1 1 4
59.25	36	2 1 2
68.02	11	2 0 4

Crystal structure
Lattice parameters (Å, degrees): 3.7828 3.7828 8.0498 90.00 90.00 90.00
Space group P4/mmm (No. 123)
Symmetry-distinct sites (fractional):
Pr: 0.0000 0.0000 0.2367 (multiplicity 2)
Tl: 0.5000 0.5000 0.5000 (multiplicity 1)
Ag: 0.5000 0.5000 0.0000 (multiplicity 1)



(4)
Computed X-ray diffraction stick pattern of Pr4TlAg2 for Cu Ka, from a structure optimized by DFT (PBE).
Neutral-atom scattering factors, no anomalous dispersion.

Top 6 peaks for 10° ≤ 2θ ≤ 80°, in order of rising 2θ:
Position (°2θ)	I (rel.)	(hkl)
29.27	64	3 1 0
29.40	100	3 0 1
30.43	87	1 0 3
34.90	64	3 2 1
35.24	73	3 1 2
35.79	32	2 1 3

Crystal structure
Lattice parameters (Å, degrees): 9.6479 9.6479 9.2522 90.00 90.00 90.00
Space group I-42d (No. 122)
Symmetry-distinct sites (fractional):
Pr: 0.0687 0.6734 0.4414 (multiplicity 16)
Tl: 0.0000 0.0000 0.5000 (multiplicity 4)
Ag: 0.1302 0.7500 0.1250 (multiplicity 8)



(5)
Computed X-ray diffraction stick pattern of Pr7Tl2Ag2 for Cu Ka, from a structure optimized by DFT (PBE).
Neutral-atom scattering factors, no anomalous dispersion.

Top 6 peaks for 10° ≤ 2θ ≤ 80°, in order of rising 2θ:
Position (°2θ)	I (rel.)	(hkl)
24.28	50	2 0 1
26.61	51	1 1 2
30.94	66	0 4 0
34.62	47	1 3 2
35.31	100	2 2 2
47.13	26	0 0 4

Crystal structure
Lattice parameters (Å, degrees): 8.3320 11.5624 7.7120 90.00 90.00 90.00
Space group Cmmm (No. 65)
Symmetry-distinct sites (fractional):
Pr: 0.0000 0.0000 0.0000 (multiplicity 2)
Pr: 0.0000 0.5000 0.2528 (multiplicity 4)
Pr: 0.2500 0.2500 0.2756 (multiplicity 8)
Tl: 0.1763 0.0000 0.5000 (multiplicity 4)
Ag: 0.0000 0.2860 0.0000 (multiplicity 4)



(6)
Computed X-ray diffraction stick pattern of PrTmAg4 for Cu Ka, from a structure optimized by DFT (PBE).
Neutral-atom scattering factors, no anomalous dispersion.

Top 6 peaks for 10° ≤ 2θ ≤ 80°, in order of rising 2θ:
Position (°2θ)	I (rel.)	(hkl)
31.13	38	2 2 0
36.68	100	3 1 1
38.37	30	2 2 2
55.39	15	4 2 2
59.07	32	3 3 3
64.91	26	4 4 0

Crystal structure
Lattice parameters (Å, degrees): 8.1266 8.1266 8.1266 90.00 90.00 90.00
Space group F-43m (No. 216)
Symmetry-distinct sites (fractional):
Pr: 0.0000 0.0000 0.0000 (multiplicity 4)
Tm: 0.2500 0.2500 0.7500 (multiplicity 4)
Ag: 0.1245 0.1245 0.3755 (multiplicity 16)